[1]
Starting from DFT lattice parameters and positions (PBE), the XRD peak list of Pr3NpN4 was computed for Cu Kα (weighted mean of Kα1 and Kα2).
Kinematic intensities with the Lorentz-polarization factor, no thermal factor.

Most intense lines, 2θ from 10° to 90°, low angle first:
2theta, intensity
30.25, 100
30.43, 33
35.13, 93
50.41, 33
50.64, 32
59.99, 31
60.08, 10
60.23, 15
62.92, 17
85.05, 14

Structure:
a = 6.2781 Å, b = 7.2335 Å, c = 6.2370 Å
α = 90.00°, β = 109.61°, γ = 90.00°
Space group P2/c (No. 13)
Symmetry-distinct sites (fractional):
Pr 0.0000 0.1247 0.2500 [2 per cell]
Pr 0.0000 0.3743 0.7500 [2 per cell]
Pr 0.5000 0.3745 0.2500 [2 per cell]
Np 0.5000 0.1246 0.7500 [2 per cell]
N 0.2706 0.3500 0.5265 [4 per cell]
N 0.2801 0.1100 0.9965 [4 per cell]

---

[2]
Starting from DFT lattice parameters and positions (PBE), the XRD peak list of Rb2LiPmI6 was computed for Cu Kα (weighted mean of Kα1 and Kα2).
Kinematic intensities with the Lorentz-polarization factor, no thermal factor.

Most intense lines, 2θ from 10° to 90°, low angle first:
2theta, intensity
24.24, 32
24.80, 100
25.36, 78
25.97, 29
26.09, 28
27.55, 27
29.65, 85
29.97, 55
44.61, 29
44.92, 33

Structure:
a = 8.3616 Å, b = 8.6929 Å, c = 14.5301 Å
α = 90.00°, β = 124.85°, γ = 90.00°
Space group P2_1/c (No. 14)
Symmetry-distinct sites (fractional):
Rb 0.2269 0.0693 0.2485 [4 per cell]
Li 0.0000 0.0000 0.5000 [2 per cell]
Pm 0.5000 0.0000 0.0000 [2 per cell]
I 0.1579 0.2033 0.9587 [4 per cell]
I 0.2602 0.7026 0.9613 [4 per cell]
I 0.3255 0.0109 0.7453 [4 per cell]

---

[3]
Starting from DFT lattice parameters and positions (PBE), the XRD peak list of HgPH2S4 was computed for Cu Kα (weighted mean of Kα1 and Kα2).
Kinematic intensities with the Lorentz-polarization factor, no thermal factor.

Most intense lines, 2θ from 10° to 90°, low angle first:
2theta, intensity
15.97, 100
18.75, 100
23.98, 39
24.13, 42
28.94, 83
29.07, 45
29.57, 62
38.03, 47
39.45, 36
47.78, 46

Structure:
a = 7.3766 Å, b = 7.4214 Å, c = 11.0999 Å
α = 90.00°, β = 90.00°, γ = 90.00°
Space group Fmm2 (No. 42)
Symmetry-distinct sites (fractional):
Hg 0.0000 0.0000 0.0000 [4 per cell]
P 0.0000 0.0000 0.5316 [4 per cell]
H 0.2500 0.2500 0.1465 [8 per cell]
S 0.0000 0.2216 0.6539 [8 per cell]
S 0.2005 0.0000 0.4066 [8 per cell]

---

Q: Number 3 is which compound?
A: HgPH2S4

---

Q: Which formula does entry 1 have?
A: Pr3NpN4

---

Please write out number 3 again, unchanged.
Starting from DFT lattice parameters and positions (PBE), the XRD peak list of HgPH2S4 was computed for Cu Kα (weighted mean of Kα1 and Kα2).
Kinematic intensities with the Lorentz-polarization factor, no thermal factor.

Most intense lines, 2θ from 10° to 90°, low angle first:
2theta, intensity
15.97, 100
18.75, 100
23.98, 39
24.13, 42
28.94, 83
29.07, 45
29.57, 62
38.03, 47
39.45, 36
47.78, 46

Structure:
a = 7.3766 Å, b = 7.4214 Å, c = 11.0999 Å
α = 90.00°, β = 90.00°, γ = 90.00°
Space group Fmm2 (No. 42)
Symmetry-distinct sites (fractional):
Hg 0.0000 0.0000 0.0000 [4 per cell]
P 0.0000 0.0000 0.5316 [4 per cell]
H 0.2500 0.2500 0.1465 [8 per cell]
S 0.0000 0.2216 0.6539 [8 per cell]
S 0.2005 0.0000 0.4066 [8 per cell]